For RbAuSe, DFT lattice parameters and positions (GGA-PBE) gives the simulated X-ray powder pattern in this record (Cu Kα X-rays).

Top 6 peaks for 2θ = 10–90°, in order of rising 2θ:
h k l  Position (°2θ)  Rel. int.
1 1 0  16.51  1000
0 2 1  24.36  283
2 0 0  25.62  880
1 1 2  29.68  949
0 2 2  32.49  535
2 2 2  41.83  538

Crystal structure
```
data_RbAuSe
_chemical_formula_sum 'Rb4 Au4 Se4'
_space_group_name_H-M_alt 'C m c m'
_space_group_IT_number 63
_space_group_name_Hall '-C 2c 2'
_cell_length_a 6.9529
_cell_length_b 8.4550
_cell_length_c 7.2681
_cell_angle_alpha 90.00
_cell_angle_beta 90.00
_cell_angle_gamma 90.00
loop_
_atom_site_label
_atom_site_fract_x
_atom_site_fract_y
_atom_site_fract_z
_atom_site_occupancy
Rb1 0.0000 0.1361 0.2500 1
Au1 0.0000 0.5000 0.0000 1
Se1 0.0000 0.3039 0.7500 1
```

For RbUAuSe3, DFT lattice parameters and positions (GGA-PBE) gives the simulated X-ray powder pattern in this record (Cu Kα X-rays).

Top 6 peaks for 2θ = 10–90°, in order of rising 2θ:
h k l  Position (°2θ)  Rel. int.
0 2 0  11.41  1000
1 1 2  27.46  242
1 3 1  28.53  421
1 3 2  32.03  515
0 0 4  33.27  300
1 5 2  39.76  262

Crystal structure
```
data_RbUAuSe3
_chemical_formula_sum 'Rb4 U4 Au4 Se12'
_space_group_name_H-M_alt 'C m c m'
_space_group_IT_number 63
_space_group_name_Hall '-C 2c 2'
_cell_length_a 4.2213
_cell_length_b 15.5055
_cell_length_c 10.7709
_cell_angle_alpha 90.00
_cell_angle_beta 90.00
_cell_angle_gamma 90.00
loop_
_atom_site_label
_atom_site_fract_x
_atom_site_fract_y
_atom_site_fract_z
_atom_site_occupancy
Rb1 0.0000 0.2505 0.2500 1
U1 0.0000 0.0000 0.0000 1
Au1 0.0000 0.4571 0.7500 1
Se1 0.0000 0.0652 0.7500 1
Se2 0.0000 0.3766 0.5413 1
```

For Rb4Sn2Au7, DFT lattice parameters and positions (GGA-PBE) gives the simulated X-ray powder pattern in this record (Cu Kα X-rays).

Top 6 peaks for 2θ = 10–90°, in order of rising 2θ:
h k l  Position (°2θ)  Rel. int.
0 1 2  15.90  1000
0 1 8  28.18  537
2 0 2  30.34  479
1 1 6  31.44  492
0 2 4  32.11  907
2 2 0  52.73  458

Crystal structure
```
data_Rb4Sn2Au7
_chemical_formula_sum 'Rb12 Sn6 Au21'
_space_group_name_H-M_alt 'R -3 m'
_space_group_IT_number 166
_space_group_name_Hall '-R 3 2"'
_cell_length_a 6.9405
_cell_length_b 6.9405
_cell_length_c 29.8128
_cell_angle_alpha 90.00
_cell_angle_beta 90.00
_cell_angle_gamma 120.00
loop_
_atom_site_label
_atom_site_fract_x
_atom_site_fract_y
_atom_site_fract_z
_atom_site_occupancy
Rb1 0.0000 0.0000 0.1845 1
Rb2 0.0000 0.0000 0.3124 1
Sn1 0.0000 0.0000 0.0496 1
Au1 0.0000 0.0000 0.5000 1
Au2 0.0616 0.5308 0.2437 1
```